Diffraction record for Er3ScSi2. The X-ray powder pattern is theoretical, not measured: it uses a cell relaxed with PBE and Cu Kα.
Neutral-atom scattering factors, no anomalous dispersion.

Cell and atoms:
a = 4.207 Å, b = 4.290 Å, c = 15.472 Å
α = 90.00°, β = 90.00°, γ = 90.00°
Space group Immm (No. 71)
Asymmetric unit:
Er 0.000 0.000 0.000 x2
Er 0.000 0.500 0.321 x4
Sc 0.000 0.000 0.500 x2
Si 0.000 0.500 0.133 x4

Most intense lines, 2θ = 5–70°, sorted by position:
- d 4.134, I = 36
- d 3.260, I = 64
- d 2.800, I = 100
- d 2.579, I = 30
- d 2.510, I = 35
- d 2.372, I = 40
- d 2.145, I = 23
- d 2.104, I = 22
- d 1.792, I = 24
- d 1.649, I = 16
- d 1.626, I = 26
- d 1.612, I = 18